1.
The following is a simulated X-ray powder pattern of TaMnNbCr. It was derived from DFT lattice parameters and positions (PBE), using Cu Kα (λ = 1.5418 Å).
Intensities are scaled so that the largest is 100.

Structural model:
Lattice parameters (Å, degrees): 3.081 3.081 6.176 90.00 90.00 90.00
Positions (direct):
1 Ta 0.000 0.000 0.000
2 Mn 0.500 0.500 0.248
3 Nb 0.000 0.000 0.498
4 Cr 0.500 0.500 0.749

Peak list (10 most intense, 2θ from 10° to 90°, in order of rising 2θ)
| Position (°2θ) | I_rel | index |
| --- | --- | --- |
| 14.3 | 10 | 0 0 1 |
| 29.0 | 24 | 1 0 0 |
| 32.5 | 6 | 1 0 1 |
| 41.4 | 100 | 1 1 0 |
| 51.3 | 7 | 1 1 2 |
| 59.9 | 5 | 0 0 4 |
| 60.0 | 11 | 2 0 0 |
| 68.0 | 6 | 2 1 0 |
| 75.5 | 32 | 2 1 2 |
| 90.0 | 7 | 2 0 4 |

---

2.
The following is a simulated X-ray powder pattern of Mn5Nb2ZnCr2. It was derived from DFT lattice parameters and positions (PBE), using Cu Kα (λ = 1.5418 Å).
Intensities are scaled so that the largest is 100.

Structural model:
Lattice parameters (Å, degrees): 9.704 9.704 2.894 90.00 90.00 90.00
Positions (direct):
1 Mn 0.000 0.500 0.000
2 Mn 0.050 0.203 0.000
3 Mn 0.203 0.950 0.000
4 Mn 0.297 0.450 0.000
5 Mn 0.450 0.703 0.000
6 Mn 0.500 0.000 0.000
7 Mn 0.550 0.297 0.000
8 Mn 0.703 0.550 0.000
9 Mn 0.797 0.050 0.000
10 Mn 0.950 0.797 0.000
11 Nb 0.174 0.674 0.500
12 Nb 0.326 0.174 0.500
13 Nb 0.674 0.826 0.500
14 Nb 0.826 0.326 0.500
15 Zn 0.000 0.000 0.500
16 Zn 0.500 0.500 0.500
17 Cr 0.133 0.367 0.500
18 Cr 0.367 0.867 0.500
19 Cr 0.633 0.133 0.500
20 Cr 0.867 0.633 0.500

Peak list (10 most intense, 2θ from 10° to 90°, in order of rising 2θ)
| Position (°2θ) | I_rel | index |
| --- | --- | --- |
| 29.1 | 13 | 3 1 0 |
| 37.4 | 14 | 2 1 1 |
| 38.2 | 48 | 4 1 0 |
| 39.4 | 34 | 3 3 0 |
| 40.8 | 28 | 2 2 1 |
| 41.6 | 16 | 4 2 0 |
| 43.0 | 100 | 3 1 1 |
| 46.1 | 22 | 3 2 1 |
| 49.0 | 15 | 4 0 1 |
| 64.4 | 18 | 0 0 2 |